1.
Starting from a structure optimized by DFT (PBE), the PXRD pattern of Nb14ReRu was computed for Cu Kα X-rays.
Intensities are scaled so that the largest is 100.

Peak list (6 most intense, 15 to 90 degrees two-theta, sorted by position)
2θ 38.62, I 20
2θ 38.84, I 100
2θ 55.95, I 13
2θ 70.04, I 14
2θ 70.34, I 20
2θ 83.37, I 10

Cell and atoms:
Cell: 5.695 5.695 9.270 Å, 90.00 90.00 109.90°
Positions (direct):
1 Nb 0.000 0.000 0.000
2 Nb 0.000 0.500 0.000
3 Nb 0.000 0.500 0.500
4 Nb 0.249 0.249 0.260
5 Nb 0.249 0.249 0.740
6 Nb 0.250 0.750 0.252
7 Nb 0.250 0.750 0.748
8 Nb 0.500 0.000 0.000
9 Nb 0.500 0.000 0.500
10 Nb 0.500 0.500 0.000
11 Nb 0.750 0.250 0.252
12 Nb 0.750 0.250 0.748
13 Nb 0.751 0.751 0.260
14 Nb 0.751 0.751 0.740
15 Re 0.000 0.000 0.500
16 Ru 0.500 0.500 0.500


2.
Starting from a structure optimized by DFT (PBE), the PXRD pattern of Mg6ZnNi was computed for Cu Kα X-rays.
Intensities are scaled so that the largest is 100.

Peak list (6 most intense, 15 to 90 degrees two-theta, sorted by position)
2θ 17.00, I 26
2θ 33.84, I 30
2θ 37.99, I 35
2θ 38.96, I 100
2θ 39.44, I 48
2θ 74.37, I 30

Cell and atoms:
Cell: 4.737 6.056 6.056 Å, 61.02 90.00 90.00°
Positions (direct):
1 Mg 0.000 0.000 0.000
2 Mg 0.000 0.017 0.501
3 Mg 0.000 0.496 0.496
4 Mg 0.000 0.501 0.017
5 Mg 0.500 0.336 0.834
6 Mg 0.500 0.834 0.336
7 Zn 0.500 0.836 0.836
8 Ni 0.500 0.338 0.338


3.
Starting from a structure optimized by DFT (PBE), the PXRD pattern of TbPmNpO6 was computed for Cu Kα X-rays.
Intensities are scaled so that the largest is 100.

Peak list (6 most intense, 15 to 90 degrees two-theta, sorted by position)
2θ 25.61, I 100
2θ 30.86, I 63
2θ 36.16, I 22
2θ 40.52, I 30
2θ 49.13, I 49
2θ 51.78, I 30

Cell and atoms:
Cell: 5.795 5.795 9.653 Å, 90.00 90.00 120.00°
Positions (direct):
1 Tb 0.333 0.667 0.250
2 Tb 0.667 0.333 0.750
3 Pm 0.000 0.000 0.000
4 Pm 0.000 0.000 0.500
5 Np 0.333 0.667 0.750
6 Np 0.667 0.333 0.250
7 O 0.027 0.363 0.636
8 O 0.027 0.664 0.864
9 O 0.336 0.363 0.864
10 O 0.336 0.973 0.636
11 O 0.363 0.027 0.136
12 O 0.363 0.336 0.364
13 O 0.637 0.664 0.636
14 O 0.637 0.973 0.864
15 O 0.664 0.027 0.364
16 O 0.664 0.637 0.136
17 O 0.973 0.336 0.136
18 O 0.973 0.637 0.364


4.
Starting from a structure optimized by DFT (PBE), the PXRD pattern of ZnAg2Cl5 was computed for Cu Kα X-rays.
Intensities are scaled so that the largest is 100.

Peak list (6 most intense, 15 to 90 degrees two-theta, sorted by position)
2θ 19.28, I 83
2θ 20.74, I 100
2θ 25.63, I 40
2θ 28.65, I 42
2θ 36.13, I 51
2θ 45.03, I 38

Cell and atoms:
Cell: 7.279 7.279 9.710 Å, 111.93 111.93 77.76°
Positions (direct):
1 Zn 0.108 0.892 0.750
2 Zn 0.892 0.108 0.250
3 Ag 0.000 0.500 0.000
4 Ag 0.500 0.000 0.500
5 Ag 0.500 0.500 0.000
6 Ag 0.500 0.500 0.500
7 Cl 0.171 0.219 0.840
8 Cl 0.219 0.171 0.340
9 Cl 0.224 0.763 0.954
10 Cl 0.237 0.776 0.546
11 Cl 0.431 0.569 0.250
12 Cl 0.569 0.431 0.750
13 Cl 0.763 0.224 0.454
14 Cl 0.776 0.237 0.046
15 Cl 0.781 0.829 0.660
16 Cl 0.829 0.781 0.160